Starting from the GGA-PBE geometry in Alexandria, the powder X-ray diffraction pattern of PmSm2Cu9 was calculated for Cu Kα (λ = 1.5418 Å).
Peak positions follow from Bragg's law for the DFT cell and can differ from measured ones.

Structural model:
Lattice parameters (Å, degrees): 8.903 8.903 8.903 34.15 34.15 34.15
Element x y z (fractional)
Pm  0.000  0.000  0.000
Sm  0.143  0.143  0.143
Sm  0.857  0.857  0.857
Cu  0.085  0.580  0.580
Cu  0.332  0.332  0.332
Cu  0.420  0.420  0.915
Cu  0.420  0.915  0.420
Cu  0.500  0.500  0.500
Cu  0.580  0.085  0.580
Cu  0.580  0.580  0.085
Cu  0.668  0.668  0.668
Cu  0.915  0.420  0.420

Principal peaks in the range 2θ = 15–90°, in order of rising 2θ:
2θ 31.81, intensity 42; 2θ 34.30, intensity 46; 2θ 34.76, intensity 27; 2θ 39.98, intensity 35; 2θ 40.69, intensity 100; 2θ 43.21, intensity 15; 2θ 65.77, intensity 23; 2θ 72.28, intensity 21

***

Starting from the GGA-PBE geometry in Alexandria, the powder X-ray diffraction pattern of Bi10Te2Br4O17 was calculated for Cu Kα (λ = 1.5418 Å).
Peak positions follow from Bragg's law for the DFT cell and can differ from measured ones.

Structural model:
Lattice parameters (Å, degrees): 19.415 19.415 19.415 163.40 163.40 23.55
Element x y z (fractional)
Bi  0.000  0.000  0.000
Bi  0.112  0.112  0.000
Bi  0.181  0.681  0.500
Bi  0.249  0.249  0.000
Bi  0.432  0.932  0.500
Bi  0.495  0.495  0.000
Bi  0.612  0.612  0.000
Bi  0.681  0.181  0.500
Bi  0.749  0.749  0.000
Bi  0.932  0.432  0.500
Te  0.372  0.372  0.000
Te  0.859  0.859  0.000
Br  0.050  0.550  0.500
Br  0.300  0.800  0.500
Br  0.550  0.050  0.500
Br  0.800  0.300  0.500
O  0.113  0.113  0.460
O  0.113  0.653  0.000
O  0.211  0.211  0.485
O  0.211  0.726  0.000
O  0.390  0.390  0.500
O  0.390  0.890  0.000
O  0.421  0.421  0.000
O  0.469  0.469  0.500
O  0.469  0.969  0.000
O  0.653  0.113  0.000
O  0.653  0.653  0.540
O  0.726  0.211  0.000
O  0.726  0.726  0.515
O  0.890  0.390  0.000
O  0.890  0.890  0.500
O  0.969  0.469  0.000
O  0.969  0.969  0.500

Principal peaks in the range 2θ = 15–90°, in order of rising 2θ:
2θ 24.34, intensity 11; 2θ 29.35, intensity 100; 2θ 31.94, intensity 35; 2θ 37.87, intensity 10; 2θ 45.80, intensity 19; 2θ 50.36, intensity 22; 2θ 55.33, intensity 35; 2θ 60.88, intensity 10